# Rb4Cl3
Simulated XRD peak list, Cu Ka. Input: the PBE geometry in Alexandria.

Most intense lines, 2θ from 15° to 90°, sorted by position:
- 2θ 22.82, d = 3.897 Å, I = 36.9
- 2θ 26.25, d = 3.395 Å, I = 100.0
- 2θ 37.10, d = 2.423 Å, I = 36.5
- 2θ 37.82, d = 2.379 Å, I = 36.9
- 2θ 46.62, d = 1.948 Å, I = 19.3
- 2θ 61.52, d = 1.507 Å, I = 16.4

Unit cell a=16.213 b=16.213 c=16.213 alpha=16.88 beta=16.88 gamma=16.88
Sites, in units of the cell vectors:
1 Rb 0.121 0.121 0.121
2 Rb 0.374 0.374 0.374
3 Rb 0.626 0.626 0.626
4 Rb 0.879 0.879 0.879
5 Cl 0.000 0.000 0.000
6 Cl 0.253 0.253 0.253
7 Cl 0.747 0.747 0.747